Record 1
Diffraction record for Ca5VH2N4. The X-ray powder pattern is computed, not measured: it uses DFT lattice parameters and positions (GGA-PBE) and Cu Ka.
Lines closer than 0.1° are merged.

Principal peaks in the range 2θ = 10–90°, low angle first:
d/Å  Rel. int.
6.915  332
2.871  395
2.825  872
2.786  359
2.753  1000
2.000  517

Atomic structure:
Unit cell a=6.915 b=5.513 c=5.513 alpha=117.22 beta=90.00 gamma=90.00
Atoms (fractional coordinates):
Ca1 0.000 0.000 0.000
Ca2 0.273 0.316 0.672
Ca3 0.273 0.672 0.316
Ca4 0.727 0.316 0.672
Ca5 0.727 0.672 0.316
V1 0.500 0.004 0.004
H1 0.000 0.008 0.561
H2 0.000 0.561 0.008
N1 0.287 0.195 0.195
N2 0.500 0.654 0.974
N3 0.500 0.974 0.654
N4 0.713 0.195 0.195


Record 2
Diffraction record for Na2Pu3O8. The X-ray powder pattern is computed, not measured: it uses DFT lattice parameters and positions (GGA-PBE) and Cu Ka.
Lines closer than 0.1° are merged.

Principal peaks in the range 2θ = 10–90°, low angle first:
d/Å  Rel. int.
5.778  217
5.342  1000
2.936  382
2.828  231
2.752  430
2.141  254

Atomic structure:
Unit cell a=6.550 b=6.550 c=5.905 alpha=104.16 beta=104.16 gamma=63.25
Atoms (fractional coordinates):
Na1 0.199 0.199 0.110
Na2 0.801 0.801 0.890
Pu1 0.244 0.756 0.500
Pu2 0.500 0.500 0.000
Pu3 0.756 0.244 0.500
O1 0.100 0.100 0.427
O2 0.182 0.616 0.129
O3 0.384 0.818 0.871
O4 0.405 0.405 0.610
O5 0.595 0.595 0.390
O6 0.616 0.182 0.129
O7 0.818 0.384 0.871
O8 0.900 0.900 0.573